Diffraction record for Sm8CoPd2. The PXRD pattern is theoretical, not measured: it uses a structure optimized by DFT (GGA-PBE) and CuKα.

Main lines, in order of rising 2θ (2θ from 5° to 70°):
index  two_theta  I (rel.)
1 1 -2  29.2  27.9
2 0 -2  29.7  11.2
1 3 1  31.0  100.0
2 0 1  31.9  18.0
0 2 2  34.3  11.7
2 4 -1  35.6  30.2
3 3 -1  37.2  18.8
2 4 -2  41.6  11.6
0 6 0  43.2  14.9
4 4 0  54.0  17.6

```
data_Sm8CoPd2
_chemical_formula_sum 'Sm16 Co2 Pd4'
_cell_length_a 8.888
_cell_length_b 12.554
_cell_length_c 6.325
_cell_angle_alpha 90.00
_cell_angle_beta 114.52
_cell_angle_gamma 90.00
_symmetry_space_group_name_H-M 'C 1 m 1'
_symmetry_Int_Tables_number 8
loop_
_symmetry_equiv_pos_as_xyz
'x,y,z'
'x,-y,z'
'x+1/2,y+1/2,z'
'x+1/2,-y+1/2,z'
loop_
_atom_site_label
_atom_site_type_symbol
_atom_site_fract_x
_atom_site_fract_y
_atom_site_fract_z
Sm1 Sm 0.000 0.000 0.000
Sm2 Sm 0.089 0.367 0.821
Sm3 Sm 0.137 0.138 0.536
Sm4 Sm 0.231 0.500 0.404
Sm5 Sm 0.363 0.154 0.175
Co1 Co 0.351 0.000 0.445
Pd1 Pd 0.375 0.312 0.708
```